# 1
For Ca3Zn2Pt7, a PBE-relaxed structure gives the calculated PXRD pattern in this record (a wavelength of 1.5418 Å).
Peak positions follow from Bragg's law for the DFT cell and can differ from measured ones.

Top 8 peaks for 2θ = 5–70°, by angle:
- 18.91°, I = 100
- 20.93°, I = 56
- 37.85°, I = 52
- 38.36°, I = 41
- 38.95°, I = 88
- 41.78°, I = 79
- 42.59°, I = 38
- 45.43°, I = 64

Atomic structure:
a b c (Å): 9.0678 9.0678 9.0678
angles (deg): 35.40 35.40 35.40
Fractional coordinates of all 12 atoms:
Ca1 0.0000 0.0000 0.0000
Ca2 0.1405 0.1405 0.1405
Ca3 0.8595 0.8595 0.8595
Zn1 0.3340 0.3340 0.3340
Zn2 0.6660 0.6660 0.6660
Pt1 0.0772 0.5823 0.5823
Pt2 0.4177 0.4177 0.9228
Pt3 0.4177 0.9228 0.4177
Pt4 0.5000 0.5000 0.5000
Pt5 0.5823 0.0772 0.5823
Pt6 0.5823 0.5823 0.0772
Pt7 0.9228 0.4177 0.4177

# 2
For Pm8Pt5Rh, a PBE-relaxed structure gives the calculated PXRD pattern in this record (a wavelength of 1.5418 Å).
Peak positions follow from Bragg's law for the DFT cell and can differ from measured ones.

Top 8 peaks for 2θ = 5–70°, by angle:
- 31.53°, I = 48
- 31.70°, I = 100
- 37.61°, I = 53
- 37.71°, I = 25
- 45.43°, I = 16
- 47.71°, I = 19
- 52.12°, I = 26
- 64.32°, I = 26

Atomic structure:
a b c (Å): 7.7428 7.7428 7.7428
angles (deg): 109.64 109.64 109.14
Fractional coordinates of all 14 atoms:
Pm1 0.2511 0.5023 0.1248
Pm2 0.3677 0.1190 0.3649
Pm3 0.3775 0.1263 0.8752
Pm4 0.4977 0.6225 0.7488
Pm5 0.7541 0.0029 0.6351
Pm6 0.8737 0.7489 0.2512
Pm7 0.8810 0.2459 0.2487
Pm8 0.9971 0.6323 0.7513
Pt1 0.1243 0.2487 0.6270
Pt2 0.2500 0.7500 0.5000
Pt3 0.5027 0.8757 0.1244
Pt4 0.6217 0.4973 0.3730
Pt5 0.7513 0.3783 0.8756
Rh1 0.0000 0.0000 0.0000

# 3
For Cs4VCl6, a PBE-relaxed structure gives the calculated PXRD pattern in this record (a wavelength of 1.5418 Å).
Peak positions follow from Bragg's law for the DFT cell and can differ from measured ones.

Top 8 peaks for 2θ = 5–70°, by angle:
- 13.04°, I = 20
- 18.00°, I = 28
- 21.22°, I = 47
- 27.96°, I = 100
- 30.18°, I = 29
- 36.46°, I = 19
- 39.69°, I = 24
- 43.89°, I = 22

Atomic structure:
a b c (Å): 9.3643 9.3643 9.8580
angles (deg): 90.00 90.00 90.00
Fractional coordinates of all 22 atoms:
Cs1 0.1749 0.3251 0.2500
Cs2 0.1749 0.3251 0.7500
Cs3 0.3251 0.8251 0.2500
Cs4 0.3251 0.8251 0.7500
Cs5 0.6749 0.1749 0.2500
Cs6 0.6749 0.1749 0.7500
Cs7 0.8251 0.6749 0.2500
Cs8 0.8251 0.6749 0.7500
V1 0.0000 0.0000 0.0000
V2 0.5000 0.5000 0.5000
Cl1 0.0000 0.0000 0.2555
Cl2 0.0000 0.0000 0.7445
Cl3 0.0798 0.7375 0.0000
Cl4 0.2375 0.5798 0.5000
Cl5 0.2625 0.0798 0.0000
Cl6 0.4202 0.2375 0.5000
Cl7 0.5000 0.5000 0.2445
Cl8 0.5000 0.5000 0.7555
Cl9 0.5798 0.7625 0.5000
Cl10 0.7375 0.9202 0.0000
Cl11 0.7625 0.4202 0.5000
Cl12 0.9202 0.2625 0.0000